For La3Y6Th, DFT lattice parameters and positions (PBE) gives the computed X-ray diffraction stick pattern in this record (Cu Kα (weighted mean of Kα1 and Kα2)).

Atomic structure:
a b c (Å): 6.998 6.998 6.998
angles (deg): 91.46 91.46 91.46
Atoms (fractional coordinates):
La 0.000 0.000 0.000
La 0.244 0.244 0.244
La 0.756 0.756 0.756
Y 0.000 0.671 0.329
Y 0.177 0.500 0.823
Y 0.329 0.000 0.671
Y 0.500 0.823 0.177
Y 0.671 0.329 0.000
Y 0.823 0.177 0.500
Th 0.500 0.500 0.500

Principal peaks in the range 15° ≤ 2θ ≤ 90°, sorted by position:
2θ 17.7, I 35
2θ 28.8, I 41
2θ 30.9, I 100
2θ 32.0, I 27
2θ 36.8, I 16
2θ 41.1, I 26
2θ 42.8, I 14
2θ 48.8, I 18
2θ 53.7, I 14
2θ 55.0, I 19